No. 1
This entry pairs a crystal structure of TaPb2N3 with its theoretical powder diffraction line list. Radiation: Cu Ka. Structure: a PBE-relaxed structure.
No peak broadening, texture or thermal motion is included.

Structure:
abc: 6.2279 11.3112 13.2493
angles: 90.00 90.24 90.00
Space group C2/c (No. 15)
One atom of each set of equivalent atoms:
Ta 0.2444 0.0028 0.1636 (multiplicity 8)
Pb 0.2145 0.1757 0.3866 (multiplicity 8)
Pb 0.2153 0.3699 0.0809 (multiplicity 8)
N 0.0000 0.0383 0.7500 (multiplicity 4)
N 0.0000 0.4920 0.7500 (multiplicity 4)
N 0.1775 0.1544 0.0972 (multiplicity 8)
N 0.1968 0.3850 0.4428 (multiplicity 8)

The 6 most intense peaks (2θ = 10–90°), sorted by position:
index, 2θ/deg, I_rel
0 0 4, 26.9, 24
2 0 0, 28.7, 42
1 3 -2, 30.8, 100
1 1 -4, 31.6, 20
1 1 4, 31.7, 16
0 4 6, 52.6, 13

No. 2
This entry pairs a crystal structure of MgZn3Cu2H14S2O18 with its theoretical powder diffraction line list. Radiation: Cu Ka. Structure: a PBE-relaxed structure.
No peak broadening, texture or thermal motion is included.

Structure:
abc: 5.5538 6.7900 10.7297
angles: 94.79 97.36 93.73
Space group P1 (No. 1)
One atom of each set of equivalent atoms:
Mg 0.0000 0.0000 0.0000 (multiplicity 1)
Zn 0.1494 0.7250 0.6695 (multiplicity 1)
Zn 0.5298 0.5200 0.2215 (multiplicity 1)
Zn 0.5825 0.0182 0.1556 (multiplicity 1)
Cu 0.1066 0.3621 0.2683 (multiplicity 1)
Cu 0.1066 0.7332 0.1939 (multiplicity 1)
H 0.2663 0.4063 0.5471 (multiplicity 1)
H 0.3610 0.8473 0.9559 (multiplicity 1)
H 0.3747 0.0864 0.7414 (multiplicity 1)
H 0.4679 0.8492 0.3495 (multiplicity 1)
H 0.4768 0.2207 0.3460 (multiplicity 1)
H 0.4766 0.9995 0.6137 (multiplicity 1)
H 0.5203 0.5367 0.5900 (multiplicity 1)
H 0.7221 0.9619 0.7693 (multiplicity 1)
H 0.7691 0.2941 0.0404 (multiplicity 1)
H 0.7762 0.6645 0.0147 (multiplicity 1)
H 0.7878 0.4987 0.7481 (multiplicity 1)
H 0.8852 0.3935 0.6253 (multiplicity 1)
H 0.9020 0.6313 0.3811 (multiplicity 1)
H 0.9742 0.0963 0.7787 (multiplicity 1)
S 0.3977 0.4531 0.8920 (multiplicity 1)
S 0.8763 0.0386 0.4772 (multiplicity 1)
O 0.0153 0.2036 0.5630 (multiplicity 1)
O 0.2636 0.2778 0.8174 (multiplicity 1)
O 0.2944 0.6371 0.8440 (multiplicity 1)
O 0.3424 0.9736 0.0039 (multiplicity 1)
O 0.3441 0.5430 0.5594 (multiplicity 1)
O 0.3711 0.4539 0.0283 (multiplicity 1)
O 0.4118 0.2430 0.2592 (multiplicity 1)
O 0.4288 0.9633 0.6972 (multiplicity 1)
O 0.4427 0.8000 0.2593 (multiplicity 1)
O 0.6085 0.0457 0.4873 (multiplicity 1)
O 0.6640 0.4581 0.8799 (multiplicity 1)
O 0.8296 0.7804 0.0754 (multiplicity 1)
O 0.8334 0.5230 0.6626 (multiplicity 1)
O 0.8435 0.2012 0.0958 (multiplicity 1)
O 0.8602 0.5251 0.3123 (multiplicity 1)
O 0.8985 0.9750 0.8068 (multiplicity 1)
O 0.9153 0.0512 0.3447 (multiplicity 1)
O 0.9580 0.8433 0.5187 (multiplicity 1)

The 6 most intense peaks (2θ = 10–90°), sorted by position:
index, 2θ/deg, I_rel
0 0 2, 16.7, 100
1 0 -1, 17.2, 54
1 1 0, 21.6, 58
0 1 2, 22.3, 89
1 -2 0, 30.0, 71
1 2 -2, 34.2, 61

No. 3
This entry pairs a crystal structure of Cs2BiAuBr6 with its theoretical powder diffraction line list. Radiation: Cu Ka. Structure: a PBE-relaxed structure.
No peak broadening, texture or thermal motion is included.

Structure:
abc: 11.4547 11.4547 11.4547
angles: 90.00 90.00 90.00
Space group Fm-3m (No. 225)
One atom of each set of equivalent atoms:
Cs 0.2500 0.2500 0.2500 (multiplicity 8)
Bi 0.0000 0.0000 0.0000 (multiplicity 4)
Au 0.0000 0.0000 0.5000 (multiplicity 4)
Br 0.0000 0.0000 0.2525 (multiplicity 24)

The 6 most intense peaks (2θ = 10–90°), sorted by position:
index, 2θ/deg, I_rel
2 0 0, 15.5, 37
2 2 0, 21.9, 88
4 0 0, 31.2, 100
4 2 2, 38.5, 43
4 4 0, 44.8, 73
8 4 0, 74.0, 33

No. 4
This entry pairs a crystal structure of Ca2Sb2O7 with its theoretical powder diffraction line list. Radiation: Cu Ka. Structure: a PBE-relaxed structure.
No peak broadening, texture or thermal motion is included.

Structure:
abc: 10.4715 10.4715 10.4715
angles: 90.00 90.00 90.00
Space group Fd-3m (No. 227, origin choice 2)
One atom of each set of equivalent atoms:
Ca 0.0000 0.0000 0.0000 (multiplicity 16)
Sb 0.0000 0.0000 0.5000 (multiplicity 16)
O 0.0741 0.3750 0.8750 (multiplicity 48)
O 0.1250 0.1250 0.1250 (multiplicity 8)

The 6 most intense peaks (2θ = 10–90°), sorted by position:
index, 2θ/deg, I_rel
1 1 1, 14.7, 39
3 1 1, 28.3, 28
2 2 2, 29.6, 100
4 0 0, 34.3, 26
4 4 0, 49.2, 49
6 2 2, 58.5, 41